Starting from a PBE-relaxed structure, the powder X-ray diffraction pattern of CdBPd3 was calculated for Cu Kα, 1.54184 Å.
Kinematic intensities with the Lorentz-polarization factor, no thermal factor.

Structure:
```
data_CdBPd3
_symmetry_space_group_name_H-M 'P 1'
_symmetry_Int_Tables_number 1
_symmetry_space_group_name_Hall 'P 1'
_cell_length_a 5.8256
_cell_length_b 5.8256
_cell_length_c 10.5371
_cell_angle_alpha 102.70
_cell_angle_beta 102.70
_cell_angle_gamma 59.08
loop_
_atom_site_label
_atom_site_fract_x
_atom_site_fract_y
_atom_site_fract_z
_atom_site_occupancy
Cd1 0.0722 0.7183 0.8726 1
Cd2 0.2817 0.9278 0.6274 1
Cd3 0.7183 0.0722 0.3726 1
Cd4 0.9278 0.2817 0.1274 1
B1 0.0000 0.5000 0.5000 1
B2 0.2552 0.7448 0.2500 1
B3 0.5000 0.0000 0.0000 1
B4 0.7448 0.2552 0.7500 1
Pd1 0.1067 0.2091 0.8773 1
Pd2 0.2091 0.1067 0.3773 1
Pd3 0.2262 0.5938 0.4069 1
Pd4 0.3179 0.3990 0.6541 1
Pd5 0.3990 0.3179 0.1541 1
Pd6 0.4062 0.7738 0.0931 1
Pd7 0.5938 0.2262 0.9069 1
Pd8 0.6010 0.6821 0.8459 1
Pd9 0.6821 0.6010 0.3459 1
Pd10 0.7738 0.4062 0.5931 1
Pd11 0.7909 0.8933 0.6227 1
Pd12 0.8933 0.7909 0.1227 1
```

The 10 most intense peaks (2θ = 10–90°), sorted by position:
two_theta  I (rel.)
35.21  100
36.21  37
36.43  49
36.65  73
38.30  98
38.46  75
42.30  50
42.55  74
44.32  42
65.69  34